No. 1
This entry pairs a crystal structure of SrCo2As2O8 with its simulated XRD peak list. Radiation: copper Kα. Structure: a crystal structure in the Materials Project, relaxed with PBE+U.
Lines closer than 0.1° are merged.

Structural model:
```
SrCo2As2O8
1.0
5.872 0.000 0.000
-0.954 7.056 0.000
-2.929 -3.042 8.249
Sr Co As O
2 4 4 16
direct
0.180 0.243 0.490 Sr
0.820 0.757 0.510 Sr
0.076 0.790 0.912 Co
0.341 0.226 0.909 Co
0.659 0.774 0.091 Co
0.924 0.210 0.088 Co
0.183 0.689 0.257 As
0.477 0.832 0.728 As
0.523 0.168 0.272 As
0.817 0.311 0.743 As
0.027 0.308 0.922 O
0.125 0.862 0.405 O
0.159 0.464 0.295 O
0.231 0.926 0.779 O
0.258 0.081 0.088 O
0.348 0.618 0.906 O
0.365 0.584 0.744 O
0.479 0.781 0.267 O
0.521 0.219 0.733 O
0.635 0.416 0.256 O
0.652 0.382 0.094 O
0.742 0.919 0.912 O
0.769 0.074 0.221 O
0.841 0.536 0.705 O
0.875 0.138 0.595 O
0.973 0.692 0.078 O
```

Most intense lines, 2θ = 10–90°, low angle first:
26.9°, rel. 100.0; 29.7°, rel. 87.2; 30.3°, rel. 82.9; 31.8°, rel. 73.5; 31.8°, rel. 42.1; 35.8°, rel. 38.1

No. 2
This entry pairs a crystal structure of Li9Mn2Co5O16 with its simulated XRD peak list. Radiation: copper Kα. Structure: a crystal structure in the Materials Project, relaxed with PBE+U.
Lines closer than 0.1° are merged.

Structural model:
```
Li9Mn2Co5O16
1.0
9.750 -1.462 0.000
9.750 1.462 0.000
-0.976 0.000 10.181
Li Mn Co O
9 2 5 16
direct
0.000 0.000 0.000 Li
0.000 0.000 0.484 Li
0.251 0.251 0.871 Li
0.254 0.254 0.354 Li
0.496 0.496 0.238 Li
0.505 0.505 0.742 Li
0.748 0.748 0.611 Li
0.751 0.751 0.121 Li
0.878 0.878 0.304 Li
0.377 0.377 0.545 Mn
0.877 0.877 0.804 Mn
0.125 0.125 0.179 Co
0.127 0.127 0.678 Co
0.372 0.372 0.077 Co
0.626 0.626 0.428 Co
0.626 0.626 0.928 Co
0.068 0.068 0.838 O
0.069 0.069 0.339 O
0.183 0.183 0.017 O
0.184 0.184 0.518 O
0.313 0.313 0.200 O
0.323 0.323 0.713 O
0.433 0.433 0.879 O
0.434 0.434 0.416 O
0.569 0.569 0.088 O
0.570 0.570 0.590 O
0.683 0.683 0.269 O
0.684 0.684 0.768 O
0.820 0.820 0.474 O
0.823 0.823 0.947 O
0.929 0.929 0.645 O
0.936 0.936 0.140 O
```

Most intense lines, 2θ = 10–90°, low angle first:
18.3°, rel. 100.0; 35.9°, rel. 26.2; 43.1°, rel. 27.3; 43.6°, rel. 55.5; 62.7°, rel. 15.4; 63.1°, rel. 14.0

No. 3
This entry pairs a crystal structure of MgMn12O17F7 with its simulated XRD peak list. Radiation: copper Kα. Structure: a crystal structure in the Materials Project, relaxed with PBE+U.
Lines closer than 0.1° are merged.

Structural model:
```
MgMn12O17F7
1.0
4.769 0.000 0.000
0.028 5.652 0.000
0.185 0.314 15.142
Mg Mn O F
1 12 17 7
direct
0.000 0.000 0.000 Mg
0.000 0.725 0.516 Mn
0.013 0.381 0.677 Mn
0.023 0.720 0.833 Mn
0.031 0.409 0.349 Mn
0.049 0.466 0.019 Mn
0.057 0.763 0.190 Mn
0.479 0.910 0.668 Mn
0.492 0.206 0.831 Mn
0.496 0.215 0.506 Mn
0.499 0.964 0.004 Mn
0.515 0.237 0.172 Mn
0.519 0.943 0.335 Mn
0.210 0.430 0.783 O
0.210 0.452 0.459 O
0.219 0.667 0.622 O
0.239 0.732 0.957 O
0.247 0.499 0.126 O
0.258 0.686 0.295 O
0.267 0.152 0.611 O
0.267 0.938 0.777 O
0.270 0.994 0.105 O
0.291 0.210 0.948 O
0.298 0.178 0.278 O
0.707 0.937 0.562 O
0.714 0.159 0.727 O
0.724 0.189 0.397 O
0.738 0.972 0.899 O
0.743 0.966 0.231 O
0.747 0.223 0.062 O
0.260 0.954 0.438 F
0.735 0.671 0.730 F
0.760 0.704 0.402 F
0.766 0.434 0.574 F
0.773 0.746 0.066 F
0.798 0.462 0.238 F
0.805 0.482 0.908 F
```

Most intense lines, 2θ = 10–90°, low angle first:
24.4°, rel. 97.6; 24.5°, rel. 100.0; 29.9°, rel. 78.0; 30.2°, rel. 90.0; 30.4°, rel. 75.8; 30.5°, rel. 84.3

No. 4
This entry pairs a crystal structure of Mg14ZnCrO16 with its simulated XRD peak list. Radiation: copper Kα. Structure: a crystal structure in the Materials Project, relaxed with PBE+U.
Lines closer than 0.1° are merged.

Structural model:
```
Mg14ZnCrO16
1.0
4.269 0.000 0.000
0.000 8.508 0.000
0.000 0.000 8.631
Mg Zn Cr O
14 1 1 16
direct
0.000 0.000 0.000 Mg
0.000 0.000 0.500 Mg
0.000 0.250 0.247 Mg
0.000 0.250 0.753 Mg
0.000 0.750 0.247 Mg
0.000 0.750 0.753 Mg
0.500 0.000 0.249 Mg
0.500 0.000 0.751 Mg
0.500 0.249 0.500 Mg
0.500 0.250 0.000 Mg
0.500 0.500 0.246 Mg
0.500 0.500 0.754 Mg
0.500 0.750 0.000 Mg
0.500 0.751 0.500 Mg
0.000 0.500 0.000 Zn
0.000 0.500 0.500 Cr
0.000 0.000 0.252 O
0.000 0.000 0.748 O
0.000 0.242 0.000 O
0.000 0.250 0.500 O
0.000 0.500 0.239 O
0.000 0.500 0.761 O
0.000 0.750 0.500 O
0.000 0.758 0.000 O
0.500 0.000 0.000 O
0.500 0.000 0.500 O
0.500 0.250 0.251 O
0.500 0.250 0.749 O
0.500 0.500 0.000 O
0.500 0.500 0.500 O
0.500 0.750 0.251 O
0.500 0.750 0.749 O
```

Most intense lines, 2θ = 10–90°, low angle first:
36.4°, rel. 54.5; 41.9°, rel. 100.0; 42.3°, rel. 96.9; 42.5°, rel. 95.5; 61.1°, rel. 55.7; 61.2°, rel. 55.2

No. 5
This entry pairs a crystal structure of Sr6MgW4O18 with its simulated XRD peak list. Radiation: copper Kα. Structure: a crystal structure in the Materials Project, relaxed with PBE+U.
Lines closer than 0.1° are merged.

Structural model:
```
Sr6MgW4O18
1.0
5.064 2.924 4.844
-5.064 2.924 4.844
0.000 -5.848 4.844
Sr Mg W O
6 1 4 18
direct
0.000 0.292 0.708 Sr
0.157 0.843 0.500 Sr
0.292 0.708 0.000 Sr
0.500 0.157 0.843 Sr
0.708 0.000 0.292 Sr
0.843 0.500 0.157 Sr
0.000 0.000 0.000 Mg
0.221 0.221 0.221 W
0.406 0.406 0.406 W
0.594 0.594 0.594 W
0.779 0.779 0.779 W
0.000 0.808 0.192 O
0.013 0.147 0.336 O
0.147 0.336 0.013 O
0.156 0.457 0.359 O
0.192 0.000 0.808 O
0.336 0.013 0.147 O
0.346 0.500 0.654 O
0.359 0.156 0.457 O
0.457 0.359 0.156 O
0.500 0.654 0.346 O
0.543 0.844 0.641 O
0.641 0.543 0.844 O
0.654 0.346 0.500 O
0.664 0.853 0.987 O
0.808 0.192 0.000 O
0.844 0.641 0.543 O
0.853 0.987 0.664 O
0.987 0.664 0.853 O
```

Most intense lines, 2θ = 10–90°, low angle first:
17.5°, rel. 94.5; 25.4°, rel. 35.1; 30.6°, rel. 100.0; 32.5°, rel. 32.1; 41.3°, rel. 58.9; 52.3°, rel. 38.9

No. 6
This entry pairs a crystal structure of MgMn6O8F4 with its simulated XRD peak list. Radiation: copper Kα. Structure: a crystal structure in the Materials Project, relaxed with PBE+U.
Lines closer than 0.1° are merged.

Structural model:
```
MgMn6O8F4
1.0
7.833 0.000 0.000
0.000 2.961 0.000
-3.699 0.000 10.271
Mg Mn O F
1 6 8 4
direct
0.000 0.000 0.000 Mg
0.199 0.000 0.816 Mn
0.387 0.500 0.150 Mn
0.532 0.000 0.495 Mn
0.650 0.500 0.795 Mn
0.798 0.000 0.146 Mn
0.954 0.500 0.507 Mn
0.042 0.000 0.625 O
0.273 0.000 0.030 O
0.380 0.500 0.491 O
0.636 0.000 0.678 O
0.649 0.500 0.160 O
0.689 0.500 0.478 O
0.724 0.000 0.919 O
0.963 0.500 0.121 O
0.010 0.500 0.862 F
0.373 0.500 0.804 F
0.421 0.000 0.288 F
0.936 0.000 0.378 F
```

Most intense lines, 2θ = 10–90°, low angle first:
22.7°, rel. 100.0; 26.0°, rel. 74.0; 34.9°, rel. 38.5; 35.0°, rel. 32.6; 48.6°, rel. 23.0; 52.1°, rel. 30.0